1.
This entry pairs a crystal structure of Tb16Dy6Th7 with its theoretical powder XRD pattern. Radiation: Cu Ka. Structure: DFT lattice parameters and positions (PBE).
Kinematic intensities with the Lorentz-polarization factor, no thermal factor.

Peak list (10 most intense, 2θ from 5° to 70°, in order of falling intensity)
| 2theta | Rel. int. |
| --- | --- |
| 31.80 | 1000 |
| 56.66 | 291 |
| 45.59 | 146 |
| 66.45 | 85 |
| 33.30 | 73 |
| 9.62 | 69 |
| 27.45 | 62 |
| 35.67 | 61 |
| 40.88 | 46 |
| 33.79 | 46 |

Atomic structure:
abc: 11.256 11.256 11.256
angles: 60.00 60.00 60.00
Atoms (fractional coordinates):
Tb  0.043  0.652  0.652
Tb  0.130  0.130  0.130
Tb  0.130  0.130  0.610
Tb  0.130  0.610  0.130
Tb  0.348  0.348  0.348
Tb  0.348  0.348  0.957
Tb  0.348  0.957  0.348
Tb  0.390  0.870  0.870
Tb  0.610  0.130  0.130
Tb  0.652  0.043  0.652
Tb  0.652  0.652  0.043
Tb  0.652  0.652  0.652
Tb  0.870  0.390  0.870
Tb  0.870  0.870  0.390
Tb  0.870  0.870  0.870
Tb  0.957  0.348  0.348
Dy  0.253  0.253  0.747
Dy  0.253  0.747  0.253
Dy  0.253  0.747  0.747
Dy  0.747  0.253  0.253
Dy  0.747  0.253  0.747
Dy  0.747  0.747  0.253
Th  0.000  0.000  0.000
Th  0.000  0.000  0.500
Th  0.000  0.500  0.000
Th  0.000  0.500  0.500
Th  0.500  0.000  0.000
Th  0.500  0.000  0.500
Th  0.500  0.500  0.000

***

2.
This entry pairs a crystal structure of Tb19Dy4Th6 with its theoretical powder XRD pattern. Radiation: Cu Ka. Structure: DFT lattice parameters and positions (PBE).
Kinematic intensities with the Lorentz-polarization factor, no thermal factor.

Peak list (10 most intense, 2θ from 5° to 70°, in order of falling intensity)
| 2theta | Rel. int. |
| --- | --- |
| 30.44 | 1000 |
| 36.78 | 995 |
| 26.77 | 774 |
| 28.66 | 626 |
| 35.29 | 573 |
| 60.35 | 333 |
| 42.29 | 262 |
| 61.35 | 259 |
| 64.31 | 249 |
| 54.08 | 248 |

Atomic structure:
abc: 10.791 10.791 10.791
angles: 109.47 109.47 109.47
Atoms (fractional coordinates):
Tb  0.000  0.000  0.000
Tb  0.000  0.265  0.265
Tb  0.000  0.735  0.735
Tb  0.020  0.807  0.344
Tb  0.193  0.212  0.536
Tb  0.212  0.536  0.193
Tb  0.265  0.000  0.265
Tb  0.265  0.265  0.000
Tb  0.324  0.788  0.980
Tb  0.344  0.020  0.807
Tb  0.464  0.676  0.656
Tb  0.536  0.193  0.212
Tb  0.656  0.464  0.676
Tb  0.676  0.656  0.464
Tb  0.735  0.000  0.735
Tb  0.735  0.735  0.000
Tb  0.788  0.980  0.324
Tb  0.807  0.344  0.020
Tb  0.980  0.324  0.788
Dy  0.000  0.000  0.644
Dy  0.000  0.644  0.000
Dy  0.356  0.356  0.356
Dy  0.644  0.000  0.000
Th  0.130  0.630  0.500
Th  0.370  0.500  0.870
Th  0.500  0.130  0.630
Th  0.500  0.870  0.370
Th  0.630  0.500  0.130
Th  0.870  0.370  0.500

***

3.
This entry pairs a crystal structure of Tb2Dy12Th with its theoretical powder XRD pattern. Radiation: Cu Ka. Structure: DFT lattice parameters and positions (PBE).
Kinematic intensities with the Lorentz-polarization factor, no thermal factor.

Peak list (10 most intense, 2θ from 5° to 70°, in order of falling intensity)
| 2theta | Rel. int. |
| --- | --- |
| 31.55 | 1000 |
| 33.08 | 847 |
| 30.92 | 811 |
| 33.44 | 697 |
| 37.31 | 640 |
| 29.86 | 617 |
| 29.38 | 331 |
| 58.77 | 308 |
| 62.42 | 303 |
| 31.99 | 292 |

Atomic structure:
abc: 6.662 6.662 24.654
angles: 90.00 90.00 116.71
Atoms (fractional coordinates):
Tb  0.250  0.750  0.232
Tb  0.250  0.750  0.768
Tb  0.750  0.250  0.232
Tb  0.750  0.250  0.768
Dy  0.000  0.000  0.423
Dy  0.000  0.000  0.577
Dy  0.000  0.500  0.374
Dy  0.000  0.500  0.626
Dy  0.001  0.501  0.087
Dy  0.001  0.999  0.937
Dy  0.250  0.250  0.174
Dy  0.250  0.250  0.301
Dy  0.250  0.250  0.699
Dy  0.250  0.250  0.826
Dy  0.499  0.501  0.937
Dy  0.499  0.999  0.087
Dy  0.500  0.000  0.374
Dy  0.500  0.000  0.626
Dy  0.500  0.500  0.423
Dy  0.500  0.500  0.577
Dy  0.501  0.001  0.913
Dy  0.501  0.499  0.063
Dy  0.750  0.750  0.174
Dy  0.750  0.750  0.301
Dy  0.750  0.750  0.699
Dy  0.750  0.750  0.826
Dy  0.999  0.001  0.063
Dy  0.999  0.499  0.913
Th  0.250  0.750  0.500
Th  0.750  0.250  0.500

***

4.
This entry pairs a crystal structure of Tb2Dy5Th5 with its theoretical powder XRD pattern. Radiation: Cu Ka. Structure: DFT lattice parameters and positions (PBE).
Kinematic intensities with the Lorentz-polarization factor, no thermal factor.

Peak list (10 most intense, 2θ from 5° to 70°, in order of falling intensity)
| 2theta | Rel. int. |
| --- | --- |
| 30.73 | 1000 |
| 51.24 | 244 |
| 35.52 | 171 |
| 35.64 | 170 |
| 35.75 | 168 |
| 60.99 | 146 |
| 60.83 | 146 |
| 61.14 | 145 |
| 64.01 | 126 |
| 51.37 | 121 |

Atomic structure:
abc: 7.945 7.945 11.288
angles: 114.96 114.96 36.97
Atoms (fractional coordinates):
Tb  0.083  0.083  0.250
Tb  0.917  0.917  0.750
Dy  0.332  0.332  0.496
Dy  0.415  0.415  0.252
Dy  0.500  0.500  0.000
Dy  0.585  0.585  0.748
Dy  0.668  0.668  0.504
Th  0.000  0.000  0.500
Th  0.169  0.169  0.002
Th  0.249  0.249  0.753
Th  0.751  0.751  0.247
Th  0.831  0.831  0.998

***

5.
This entry pairs a crystal structure of Tb3DyTh2 with its theoretical powder XRD pattern. Radiation: Cu Ka. Structure: DFT lattice parameters and positions (PBE).
Kinematic intensities with the Lorentz-polarization factor, no thermal factor.

Peak list (10 most intense, 2θ from 5° to 70°, in order of falling intensity)
| 2theta | Rel. int. |
| --- | --- |
| 30.71 | 1000 |
| 35.58 | 454 |
| 51.32 | 401 |
| 30.79 | 331 |
| 35.75 | 221 |
| 60.83 | 195 |
| 61.00 | 193 |
| 61.13 | 187 |
| 63.90 | 83 |
| 64.12 | 82 |

Atomic structure:
abc: 10.048 3.577 10.680
angles: 90.00 90.05 90.00
Atoms (fractional coordinates):
Tb  0.124  0.250  0.251
Tb  0.132  0.250  0.918
Tb  0.368  0.750  0.417
Tb  0.632  0.250  0.583
Tb  0.868  0.750  0.082
Tb  0.876  0.750  0.749
Dy  0.376  0.750  0.750
Dy  0.624  0.250  0.250
Th  0.122  0.250  0.582
Th  0.379  0.750  0.082
Th  0.621  0.250  0.918
Th  0.878  0.750  0.418

***

6.
This entry pairs a crystal structure of Tb5Dy4Th2 with its theoretical powder XRD pattern. Radiation: Cu Ka. Structure: DFT lattice parameters and positions (PBE).
Kinematic intensities with the Lorentz-polarization factor, no thermal factor.

Peak list (10 most intense, 2θ from 5° to 70°, in order of falling intensity)
| 2theta | Rel. int. |
| --- | --- |
| 31.00 | 1000 |
| 31.48 | 982 |
| 31.79 | 965 |
| 31.18 | 531 |
| 32.82 | 445 |
| 34.08 | 431 |
| 31.92 | 394 |
| 28.79 | 377 |
| 29.81 | 308 |
| 34.48 | 294 |

Atomic structure:
abc: 8.787 3.487 11.751
angles: 90.00 94.23 90.00
Atoms (fractional coordinates):
Tb  0.000  0.000  0.000
Tb  0.072  0.000  0.289
Tb  0.304  0.000  0.838
Tb  0.696  0.000  0.162
Tb  0.928  0.000  0.711
Dy  0.195  0.500  0.545
Dy  0.340  0.500  0.108
Dy  0.660  0.500  0.892
Dy  0.805  0.500  0.455
Th  0.464  0.000  0.366
Th  0.536  0.000  0.634

***

7.
This entry pairs a crystal structure of Tb5Dy4Th3 with its theoretical powder XRD pattern. Radiation: Cu Ka. Structure: DFT lattice parameters and positions (PBE).
Kinematic intensities with the Lorentz-polarization factor, no thermal factor.

Peak list (10 most intense, 2θ from 5° to 70°, in order of falling intensity)
| 2theta | Rel. int. |
| --- | --- |
| 30.14 | 1000 |
| 29.58 | 848 |
| 31.17 | 826 |
| 31.90 | 663 |
| 45.21 | 516 |
| 32.00 | 302 |
| 54.83 | 221 |
| 56.06 | 218 |
| 54.49 | 156 |
| 40.16 | 153 |

Atomic structure:
abc: 9.333 9.333 8.657
angles: 114.30 114.30 35.81
Atoms (fractional coordinates):
Tb  0.000  0.000  0.000
Tb  0.336  0.336  0.108
Tb  0.401  0.401  0.558
Tb  0.599  0.599  0.442
Tb  0.664  0.664  0.892
Dy  0.035  0.035  0.699
Dy  0.212  0.212  0.656
Dy  0.788  0.788  0.344
Dy  0.965  0.965  0.301
Th  0.182  0.182  0.229
Th  0.500  0.500  0.000
Th  0.818  0.818  0.771

***

8.
This entry pairs a crystal structure of Tb3Dy8Th2 with its theoretical powder XRD pattern. Radiation: Cu Ka. Structure: DFT lattice parameters and positions (PBE).
Kinematic intensities with the Lorentz-polarization factor, no thermal factor.

Peak list (10 most intense, 2θ from 5° to 70°, in order of falling intensity)
| 2theta | Rel. int. |
| --- | --- |
| 33.79 | 1000 |
| 31.62 | 402 |
| 30.33 | 383 |
| 25.65 | 239 |
| 57.71 | 219 |
| 29.34 | 188 |
| 41.14 | 153 |
| 34.65 | 133 |
| 60.86 | 110 |
| 47.61 | 110 |

Atomic structure:
abc: 10.992 10.992 5.659
angles: 90.00 90.00 140.80
Atoms (fractional coordinates):
Tb  0.000  0.000  0.000
Tb  0.276  0.276  0.500
Tb  0.724  0.724  0.500
Dy  0.139  0.861  0.500
Dy  0.174  0.392  0.000
Dy  0.333  0.667  0.500
Dy  0.392  0.174  0.000
Dy  0.608  0.826  0.000
Dy  0.667  0.333  0.500
Dy  0.826  0.608  0.000
Dy  0.861  0.139  0.500
Th  0.245  0.755  0.000
Th  0.755  0.245  0.000

***

9.
This entry pairs a crystal structure of TbDy6YTh2 with its theoretical powder XRD pattern. Radiation: Cu Ka. Structure: DFT lattice parameters and positions (PBE).
Kinematic intensities with the Lorentz-polarization factor, no thermal factor.

Peak list (10 most intense, 2θ from 5° to 70°, in order of falling intensity)
| 2theta | Rel. int. |
| --- | --- |
| 32.55 | 1000 |
| 30.81 | 457 |
| 31.86 | 423 |
| 29.73 | 340 |
| 32.08 | 329 |
| 32.75 | 293 |
| 29.03 | 266 |
| 32.85 | 136 |
| 36.15 | 126 |
| 67.08 | 101 |

Atomic structure:
abc: 8.607 8.607 10.108
angles: 96.36 96.36 117.66
Atoms (fractional coordinates):
Tb  0.098  0.902  0.750
Tb  0.902  0.098  0.250
Dy  0.007  0.806  0.382
Dy  0.075  0.525  0.176
Dy  0.194  0.993  0.118
Dy  0.239  0.613  0.550
Dy  0.387  0.761  0.950
Dy  0.475  0.925  0.324
Dy  0.525  0.075  0.676
Dy  0.613  0.239  0.050
Dy  0.761  0.387  0.450
Dy  0.806  0.007  0.882
Dy  0.925  0.475  0.824
Dy  0.993  0.194  0.618
Y  0.489  0.511  0.250
Y  0.511  0.489  0.750
Th  0.225  0.317  0.957
Th  0.317  0.225  0.457
Th  0.683  0.775  0.543
Th  0.775  0.683  0.043

***

10.
This entry pairs a crystal structure of Tb2Dy2Y6Th with its theoretical powder XRD pattern. Radiation: Cu Ka. Structure: DFT lattice parameters and positions (PBE).
Kinematic intensities with the Lorentz-polarization factor, no thermal factor.

Peak list (10 most intense, 2θ from 5° to 70°, in order of falling intensity)
| 2theta | Rel. int. |
| --- | --- |
| 32.16 | 1000 |
| 31.38 | 363 |
| 30.74 | 284 |
| 30.99 | 218 |
| 56.36 | 207 |
| 33.90 | 197 |
| 44.69 | 160 |
| 46.87 | 159 |
| 62.41 | 138 |
| 19.17 | 133 |

Atomic structure:
abc: 6.641 6.641 10.576
angles: 90.02 90.02 129.16
Atoms (fractional coordinates):
Tb  0.136  0.864  0.000
Tb  0.864  0.136  0.000
Dy  0.202  0.798  0.500
Dy  0.798  0.202  0.500
Y  0.001  0.001  0.289
Y  0.348  0.651  0.791
Y  0.349  0.652  0.209
Y  0.651  0.348  0.791
Y  0.652  0.349  0.209
Y  0.999  0.999  0.711
Th  0.500  0.500  0.500

***

11.
This entry pairs a crystal structure of Tb5DyYTh2 with its theoretical powder XRD pattern. Radiation: Cu Ka. Structure: DFT lattice parameters and positions (PBE).
Kinematic intensities with the Lorentz-polarization factor, no thermal factor.

Peak list (10 most intense, 2θ from 5° to 70°, in order of falling intensity)
| 2theta | Rel. int. |
| --- | --- |
| 30.69 | 1000 |
| 28.54 | 803 |
| 28.86 | 523 |
| 37.50 | 319 |
| 42.97 | 274 |
| 32.36 | 271 |
| 52.30 | 222 |
| 34.42 | 218 |
| 36.82 | 209 |
| 46.52 | 152 |

Atomic structure:
abc: 9.962 9.962 9.962
angles: 127.90 127.90 76.78
Atoms (fractional coordinates):
Tb  0.000  0.000  0.000
Tb  0.072  0.572  0.923
Tb  0.149  0.072  0.500
Tb  0.351  0.851  0.923
Tb  0.428  0.351  0.500
Tb  0.500  0.500  0.000
Tb  0.572  0.649  0.500
Tb  0.649  0.149  0.077
Tb  0.851  0.928  0.500
Tb  0.928  0.428  0.077
Dy  0.250  0.250  0.000
Dy  0.750  0.750  0.000
Y  0.250  0.750  0.500
Y  0.750  0.250  0.500
Th  0.120  0.380  0.500
Th  0.380  0.880  0.260
Th  0.620  0.120  0.740
Th  0.880  0.620  0.500